(1)
Theoretical powder diffractogram
Compound: KAs2RuBr
Radiation: copper Kα
Structure: the GGA-PBE geometry in Alexandria
Peak positions follow from Bragg's law for the DFT cell and can differ from measured ones.

Main lines, most intense first (2θ = 5–70°):
2θ 29.4, rel. 1000; 2θ 38.1, rel. 979; 2θ 48.8, rel. 963; 2θ 18.8, rel. 862; 2θ 30.5, rel. 760; 2θ 14.6, rel. 662

Crystal structure
Lattice parameters (Å, degrees): 4.7242 4.7242 6.0749 90.00 90.00 90.00
Fractional positions:
K 0.0000 0.0000 0.0000
As 0.0000 0.5000 0.5000
As 0.5000 0.0000 0.5000
Ru 0.5000 0.5000 0.5000
Br 0.5000 0.5000 0.0000

=====

(2)
Theoretical powder diffractogram
Compound: Ba3LiTi3O8
Radiation: copper Kα
Structure: the GGA-PBE geometry in Alexandria
Peak positions follow from Bragg's law for the DFT cell and can differ from measured ones.

Main lines, most intense first (2θ = 5–70°):
2θ 30.8, rel. 1000; 2θ 31.0, rel. 849; 2θ 30.5, rel. 432; 2θ 20.0, rel. 405; 2θ 48.2, rel. 300; 2θ 40.7, rel. 273

Crystal structure
Lattice parameters (Å, degrees): 5.9234 5.9234 7.7278 100.69 100.69 59.23
Fractional positions:
Ba 0.0000 0.0000 0.0000
Ba 0.3761 0.3761 0.2539
Ba 0.6241 0.6241 0.6808
Li 0.1448 0.1448 0.4163
Ti 0.3076 0.3076 0.8196
Ti 0.6752 0.6752 0.1308
Ti 0.9250 0.9250 0.5617
O 0.0079 0.5075 0.9596
O 0.1060 0.1060 0.6501
O 0.1226 0.5957 0.6342
O 0.4041 0.8824 0.2689
O 0.5010 0.5010 0.9580
O 0.5075 0.0079 0.9596
O 0.5957 0.1226 0.6342
O 0.8824 0.4041 0.2689

=====

(3)
Theoretical powder diffractogram
Compound: Pr5Er12Th2
Radiation: copper Kα
Structure: the GGA-PBE geometry in Alexandria
Peak positions follow from Bragg's law for the DFT cell and can differ from measured ones.

Main lines, most intense first (2θ = 5–70°):
2θ 32.4, rel. 1000; 2θ 31.5, rel. 972; 2θ 32.2, rel. 923; 2θ 32.1, rel. 689; 2θ 32.5, rel. 487; 2θ 31.8, rel. 459

Crystal structure
Lattice parameters (Å, degrees): 6.1692 9.8243 11.5962 67.23 74.94 79.88
Fractional positions:
Pr 0.0000 0.0000 0.0000
Pr 0.0063 0.9642 0.3486
Pr 0.4453 0.5343 0.8357
Pr 0.5547 0.4657 0.1643
Pr 0.9937 0.0358 0.6514
Er 0.0523 0.3007 0.0461
Er 0.0546 0.3268 0.3319
Er 0.1672 0.3178 0.7270
Er 0.4299 0.8283 0.1116
Er 0.4704 0.8968 0.7890
Er 0.4793 0.8068 0.5190
Er 0.5207 0.1932 0.4810
Er 0.5296 0.1032 0.2110
Er 0.5701 0.1717 0.8884
Er 0.8328 0.6822 0.2730
Er 0.9454 0.6732 0.6681
Er 0.9477 0.6993 0.9539
Th 0.2727 0.5703 0.4246
Th 0.7273 0.4297 0.5754

=====

(4)
Theoretical powder diffractogram
Compound: SrAl2Si2O10
Radiation: copper Kα
Structure: the GGA-PBE geometry in Alexandria
Peak positions follow from Bragg's law for the DFT cell and can differ from measured ones.

Main lines, most intense first (2θ = 5–70°):
2θ 33.6, rel. 1000; 2θ 33.2, rel. 886; 2θ 20.8, rel. 550; 2θ 41.6, rel. 493; 2θ 32.5, rel. 445; 2θ 19.3, rel. 436

Crystal structure
Lattice parameters (Å, degrees): 5.3573 13.2001 5.4403 90.00 113.47 90.00
Fractional positions:
Sr 0.1753 0.2500 0.3458
Sr 0.8247 0.7500 0.6542
Al 0.0000 0.0000 0.0000
Al 0.0000 0.5000 0.0000
Al 0.5000 0.0000 0.5000
Al 0.5000 0.5000 0.5000
Si 0.4938 0.6281 0.0252
Si 0.4938 0.8719 0.0252
Si 0.5062 0.1281 0.9748
Si 0.5062 0.3719 0.9748
O 0.1562 0.5658 0.3395
O 0.1562 0.9342 0.3395
O 0.1656 0.6084 0.8975
O 0.1656 0.8916 0.8975
O 0.2345 0.7500 0.4839
O 0.3507 0.0735 0.1482
O 0.3507 0.4265 0.1482
O 0.3694 0.1008 0.6564
O 0.3694 0.3992 0.6564
O 0.4434 0.2500 0.0029
O 0.5566 0.7500 0.9971
O 0.6306 0.6008 0.3436
O 0.6306 0.8992 0.3436
O 0.6493 0.5735 0.8518
O 0.6493 0.9265 0.8518
O 0.7655 0.2500 0.5161
O 0.8344 0.1084 0.1025
O 0.8344 0.3916 0.1025
O 0.8438 0.0658 0.6605
O 0.8438 0.4342 0.6605

=====

(5)
Theoretical powder diffractogram
Compound: LiAl2Cu2O6
Radiation: copper Kα
Structure: the GGA-PBE geometry in Alexandria
Peak positions follow from Bragg's law for the DFT cell and can differ from measured ones.

Main lines, most intense first (2θ = 5–70°):
2θ 34.9, rel. 1000; 2θ 13.1, rel. 431; 2θ 26.3, rel. 385; 2θ 6.5, rel. 366; 2θ 61.4, rel. 360; 2θ 36.8, rel. 307

Crystal structure
Lattice parameters (Å, degrees): 3.0218 3.0218 13.5437 90.00 90.00 120.00
Fractional positions:
Li 0.0000 0.0000 0.0000
Al 0.3333 0.6667 0.3868
Al 0.3333 0.6667 0.8288
Cu 0.0000 0.0000 0.6049
Cu 0.6667 0.3333 0.1699
O 0.0000 0.0000 0.4538
O 0.0000 0.0000 0.7666
O 0.3333 0.6667 0.1037
O 0.3333 0.6667 0.6172
O 0.6667 0.3333 0.3162
O 0.6667 0.3333 0.9070

=====

(6)
Theoretical powder diffractogram
Compound: Li3SbPd3
Radiation: copper Kα
Structure: the GGA-PBE geometry in Alexandria
Peak positions follow from Bragg's law for the DFT cell and can differ from measured ones.

Main lines, most intense first (2θ = 5–70°):
2θ 42.2, rel. 1000; 2θ 20.0, rel. 417; 2θ 14.1, rel. 411; 2θ 40.4, rel. 287; 2θ 40.7, rel. 278; 2θ 28.4, rel. 253

Crystal structure
Lattice parameters (Å, degrees): 6.2909 6.2909 5.8366 90.00 90.00 90.49
Fractional positions:
Li 0.2350 0.2350 0.5000
Li 0.2416 0.7584 0.0000
Li 0.2474 0.7526 0.5000
Li 0.7526 0.2474 0.5000
Li 0.7584 0.2416 0.0000
Li 0.7650 0.7650 0.5000
Sb 0.2457 0.2457 0.0000
Sb 0.7543 0.7543 0.0000
Pd 0.0000 0.5000 0.2577
Pd 0.0000 0.5000 0.7423
Pd 0.5000 0.0000 0.2577
Pd 0.5000 0.0000 0.7423
Pd 0.5000 0.5000 0.2568
Pd 0.5000 0.5000 0.7432